Record 1
The following is a theoretical XRD peak list of KRu3Se. It was derived from DFT lattice parameters and positions (GGA-PBE), using CuKα.
Neutral-atom scattering factors, no anomalous dispersion.

Most intense lines, 2θ from 10° to 90°, by angle:
18.97 deg, I = 67; 33.16 deg, I = 80; 38.48 deg, I = 100; 43.24 deg, I = 32; 55.55 deg, I = 67; 59.24 deg, I = 16; 66.25 deg, I = 30; 69.60 deg, I = 22; 82.45 deg, I = 10; 85.58 deg, I = 9

Cell and atoms:
a = 4.679 Å, b = 4.679 Å, c = 4.679 Å
α = 90.00°, β = 90.00°, γ = 90.00°
Fractional coordinates of all 5 atoms:
K: 0.000 0.000 0.000
Ru: 0.000 0.500 0.500
Ru: 0.500 0.000 0.500
Ru: 0.500 0.500 0.000
Se: 0.500 0.500 0.500

Record 2
The following is a theoretical XRD peak list of K2SiRu. It was derived from DFT lattice parameters and positions (GGA-PBE), using CuKα.
Neutral-atom scattering factors, no anomalous dispersion.

Most intense lines, 2θ from 10° to 90°, by angle:
26.29 deg, I = 28; 27.86 deg, I = 43; 28.44 deg, I = 84; 29.95 deg, I = 100; 33.68 deg, I = 56; 37.45 deg, I = 30; 45.03 deg, I = 56; 46.06 deg, I = 35; 53.78 deg, I = 38; 59.96 deg, I = 41

Cell and atoms:
a = 4.027 Å, b = 4.027 Å, c = 28.818 Å
α = 90.00°, β = 90.00°, γ = 120.00°
Fractional coordinates of all 12 atoms:
K: 0.000 0.000 0.000
K: 0.000 0.000 0.180
K: 0.333 0.667 0.667
K: 0.333 0.667 0.846
K: 0.667 0.333 0.333
K: 0.667 0.333 0.513
Si: 0.000 0.000 0.423
Si: 0.333 0.667 0.090
Si: 0.667 0.333 0.757
Ru: 0.000 0.000 0.757
Ru: 0.333 0.667 0.423
Ru: 0.667 0.333 0.090

Record 3
The following is a theoretical XRD peak list of KTaRu2. It was derived from DFT lattice parameters and positions (GGA-PBE), using CuKα.
Neutral-atom scattering factors, no anomalous dispersion.

Most intense lines, 2θ from 10° to 90°, by angle:
10.71 deg, I = 100; 35.66 deg, I = 26; 35.98 deg, I = 26; 40.45 deg, I = 29; 41.96 deg, I = 15; 43.49 deg, I = 15; 43.77 deg, I = 17; 70.26 deg, I = 7; 70.85 deg, I = 7; 82.27 deg, I = 7

Cell and atoms:
a = 3.133 Å, b = 3.175 Å, c = 8.264 Å
α = 90.00°, β = 90.00°, γ = 90.00°
Fractional coordinates of all 4 atoms:
K: 0.000 0.000 0.000
Ta: 0.000 0.000 0.500
Ru: 0.500 0.500 0.324
Ru: 0.500 0.500 0.676

Record 4
The following is a theoretical XRD peak list of K2YTaRu. It was derived from DFT lattice parameters and positions (GGA-PBE), using CuKα.
Neutral-atom scattering factors, no anomalous dispersion.

Most intense lines, 2θ from 10° to 90°, by angle:
14.07 deg, I = 89; 19.96 deg, I = 95; 23.94 deg, I = 40; 28.37 deg, I = 100; 31.80 deg, I = 26; 37.45 deg, I = 25; 40.55 deg, I = 37; 44.27 deg, I = 25; 49.01 deg, I = 43; 57.59 deg, I = 26

Cell and atoms:
a = 6.292 Å, b = 6.292 Å, c = 4.608 Å
α = 90.00°, β = 90.00°, γ = 90.00°
Fractional coordinates of all 5 atoms:
K: 0.000 0.500 0.000
K: 0.500 0.000 0.000
Y: 0.000 0.000 0.500
Ta: 0.500 0.500 0.000
Ru: 0.500 0.500 0.500

Record 5
The following is a theoretical XRD peak list of K2TcRu. It was derived from DFT lattice parameters and positions (GGA-PBE), using CuKα.
Neutral-atom scattering factors, no anomalous dispersion.

Most intense lines, 2θ from 10° to 90°, by angle:
17.80 deg, I = 48; 26.84 deg, I = 67; 27.91 deg, I = 37; 32.86 deg, I = 100; 34.28 deg, I = 37; 36.09 deg, I = 43; 36.60 deg, I = 67; 45.07 deg, I = 40; 45.72 deg, I = 58; 48.23 deg, I = 38

Cell and atoms:
a = 8.053 Å, b = 3.042 Å, c = 9.974 Å
α = 90.00°, β = 92.41°, γ = 90.00°
Fractional coordinates of all 8 atoms:
K: 0.000 0.000 0.000
K: 0.233 0.000 0.570
K: 0.500 0.500 0.000
K: 0.733 0.500 0.570
Tc: 0.255 0.500 0.249
Tc: 0.755 0.000 0.249
Ru: 0.482 0.000 0.325
Ru: 0.982 0.500 0.325

Record 6
The following is a theoretical XRD peak list of KTe4Ru. It was derived from DFT lattice parameters and positions (GGA-PBE), using CuKα.
Neutral-atom scattering factors, no anomalous dispersion.

Most intense lines, 2θ from 10° to 90°, by angle:
16.88 deg, I = 31; 27.74 deg, I = 13; 32.65 deg, I = 100; 34.14 deg, I = 59; 39.63 deg, I = 15; 52.25 deg, I = 34; 57.29 deg, I = 32; 67.52 deg, I = 12; 68.40 deg, I = 23; 81.22 deg, I = 21

Cell and atoms:
a = 6.433 Å, b = 6.433 Å, c = 6.433 Å
α = 60.00°, β = 60.00°, γ = 60.00°
Fractional coordinates of all 6 atoms:
K: 0.000 0.000 0.000
Te: 0.376 0.376 0.376
Te: 0.376 0.376 0.872
Te: 0.376 0.872 0.376
Te: 0.872 0.376 0.376
Ru: 0.750 0.750 0.750

Record 7
The following is a theoretical XRD peak list of KRu4W. It was derived from DFT lattice parameters and positions (GGA-PBE), using CuKα.
Neutral-atom scattering factors, no anomalous dispersion.

Most intense lines, 2θ from 10° to 90°, by angle:
20.92 deg, I = 17; 24.20 deg, I = 13; 34.48 deg, I = 27; 40.68 deg, I = 100; 42.57 deg, I = 39; 61.78 deg, I = 10; 65.99 deg, I = 31; 72.71 deg, I = 25; 86.82 deg, I = 11; 88.08 deg, I = 15

Cell and atoms:
a = 5.202 Å, b = 5.202 Å, c = 5.202 Å
α = 60.00°, β = 60.00°, γ = 60.00°
Fractional coordinates of all 6 atoms:
K: 0.000 0.000 0.000
Ru: 0.127 0.624 0.624
Ru: 0.624 0.127 0.624
Ru: 0.624 0.624 0.127
Ru: 0.624 0.624 0.624
W: 0.250 0.250 0.250

Record 8
The following is a theoretical XRD peak list of KS6. It was derived from DFT lattice parameters and positions (GGA-PBE), using CuKα.
Neutral-atom scattering factors, no anomalous dispersion.

Most intense lines, 2θ from 10° to 90°, by angle:
17.56 deg, I = 33; 18.98 deg, I = 38; 21.68 deg, I = 100; 21.92 deg, I = 40; 22.06 deg, I = 26; 24.06 deg, I = 55; 25.06 deg, I = 56; 28.87 deg, I = 37; 31.39 deg, I = 52; 36.80 deg, I = 34

Cell and atoms:
a = 6.001 Å, b = 9.473 Å, c = 15.951 Å
α = 90.00°, β = 105.97°, γ = 90.00°
Fractional coordinates of all 28 atoms:
K: 0.152 0.033 0.195
K: 0.152 0.467 0.695
K: 0.848 0.533 0.305
K: 0.848 0.967 0.805
S: 0.006 0.214 0.339
S: 0.006 0.286 0.839
S: 0.204 0.174 0.551
S: 0.204 0.326 0.051
S: 0.282 0.095 0.682
S: 0.282 0.405 0.182
S: 0.311 0.622 0.181
S: 0.311 0.878 0.681
S: 0.435 0.553 0.436
S: 0.435 0.947 0.936
S: 0.479 0.739 0.965
S: 0.479 0.761 0.465
S: 0.521 0.239 0.535
S: 0.521 0.261 0.035
S: 0.565 0.053 0.064
S: 0.565 0.447 0.564
S: 0.689 0.122 0.319
S: 0.689 0.378 0.819
S: 0.718 0.595 0.818
S: 0.718 0.905 0.318
S: 0.796 0.674 0.949
S: 0.796 0.826 0.449
S: 0.994 0.714 0.161
S: 0.994 0.786 0.661

Record 9
The following is a theoretical XRD peak list of KSb6S12. It was derived from DFT lattice parameters and positions (GGA-PBE), using CuKα.
Neutral-atom scattering factors, no anomalous dispersion.

Most intense lines, 2θ from 10° to 90°, by angle:
12.05 deg, I = 50; 23.10 deg, I = 100; 24.24 deg, I = 44; 28.02 deg, I = 35; 36.54 deg, I = 68; 36.71 deg, I = 64; 40.21 deg, I = 30; 41.81 deg, I = 28; 42.41 deg, I = 31; 44.90 deg, I = 38

Cell and atoms:
a = 8.075 Å, b = 8.075 Å, c = 8.075 Å
α = 104.71°, β = 104.71°, γ = 104.71°
Fractional coordinates of all 19 atoms:
K: 0.000 0.000 0.000
Sb: 0.260 0.260 0.654
Sb: 0.260 0.654 0.260
Sb: 0.346 0.740 0.740
Sb: 0.654 0.260 0.260
Sb: 0.740 0.346 0.740
Sb: 0.740 0.740 0.346
S: 0.123 0.500 0.877
S: 0.123 0.877 0.500
S: 0.155 0.433 0.433
S: 0.433 0.155 0.433
S: 0.433 0.433 0.155
S: 0.500 0.123 0.877
S: 0.500 0.877 0.123
S: 0.567 0.567 0.845
S: 0.567 0.845 0.567
S: 0.845 0.567 0.567
S: 0.877 0.123 0.500
S: 0.877 0.500 0.123

Record 10
The following is a theoretical XRD peak list of KSb2S4. It was derived from DFT lattice parameters and positions (GGA-PBE), using CuKα.
Neutral-atom scattering factors, no anomalous dispersion.

Most intense lines, 2θ from 10° to 90°, by angle:
12.80 deg, I = 66; 15.15 deg, I = 38; 23.41 deg, I = 33; 23.71 deg, I = 100; 30.62 deg, I = 59; 31.31 deg, I = 53; 33.31 deg, I = 53; 40.32 deg, I = 35; 45.64 deg, I = 27; 46.33 deg, I = 46

Cell and atoms:
a = 6.752 Å, b = 6.752 Å, c = 13.837 Å
α = 90.00°, β = 90.00°, γ = 145.76°
Fractional coordinates of all 14 atoms:
K: 0.104 0.896 0.750
K: 0.896 0.104 0.250
Sb: 0.365 0.635 0.571
Sb: 0.365 0.635 0.929
Sb: 0.635 0.365 0.071
Sb: 0.635 0.365 0.429
S: 0.000 0.000 0.000
S: 0.000 0.000 0.500
S: 0.268 0.732 0.104
S: 0.268 0.732 0.396
S: 0.417 0.583 0.750
S: 0.583 0.417 0.250
S: 0.732 0.268 0.604
S: 0.732 0.268 0.896

Record 11
The following is a theoretical XRD peak list of KSc5S8. It was derived from DFT lattice parameters and positions (GGA-PBE), using CuKα.
Neutral-atom scattering factors, no anomalous dispersion.

Most intense lines, 2θ from 10° to 90°, by angle:
11.87 deg, I = 32; 19.17 deg, I = 32; 30.67 deg, I = 47; 30.95 deg, I = 100; 32.20 deg, I = 50; 36.73 deg, I = 29; 38.53 deg, I = 56; 44.34 deg, I = 37; 48.71 deg, I = 42; 49.21 deg, I = 70

Cell and atoms:
a = 9.775 Å, b = 9.775 Å, c = 9.211 Å
α = 104.70°, β = 104.70°, γ = 22.05°
Fractional coordinates of all 14 atoms:
K: 0.000 0.000 0.000
Sc: 0.155 0.155 0.457
Sc: 0.204 0.204 0.841
Sc: 0.500 0.500 0.500
Sc: 0.795 0.795 0.158
Sc: 0.844 0.844 0.542
S: 0.078 0.078 0.648
S: 0.267 0.267 0.350
S: 0.331 0.331 0.009
S: 0.418 0.418 0.687
S: 0.581 0.581 0.312
S: 0.668 0.668 0.990
S: 0.732 0.732 0.650
S: 0.921 0.921 0.351

Record 12
The following is a theoretical XRD peak list of KScS2. It was derived from DFT lattice parameters and positions (GGA-PBE), using CuKα.
Neutral-atom scattering factors, no anomalous dispersion.

Most intense lines, 2θ from 10° to 90°, by angle:
15.82 deg, I = 26; 25.18 deg, I = 35; 27.18 deg, I = 100; 28.36 deg, I = 16; 33.31 deg, I = 26; 39.26 deg, I = 16; 39.46 deg, I = 13; 43.50 deg, I = 34; 46.64 deg, I = 25; 47.22 deg, I = 11

Cell and atoms:
a = 7.139 Å, b = 6.564 Å, c = 7.072 Å
α = 63.01°, β = 55.02°, γ = 61.97°
Fractional coordinates of all 8 atoms:
K: 0.000 0.000 0.000
K: 0.250 0.250 0.250
Sc: 0.452 0.452 0.548
Sc: 0.702 0.702 0.798
S: 0.050 0.551 0.871
S: 0.379 0.723 0.200
S: 0.551 0.050 0.527
S: 0.723 0.379 0.699